Diffraction record for NaCa3Mg3FeSi8O24. The powder XRD pattern is calculated, not measured: it uses a structure optimized by DFT (GGA+U) and CuKα.

Main lines, sorted by position (2θ = 10–90°):
hkl  2θ (°)  intensity
0 2 2  27.38  19.9
1 2 1  29.53  100.0
0 1 3  30.06  32.4
1 1 2  30.51  24.8
1 3 0  34.65  25.6
2 0 -2  35.16  40.1
1 2 -3  35.45  41.7
1 3 2  41.93  19.6
3 2 -1  55.90  18.2
1 3 -6  65.16  19.3

Structure:
a = 5.320 Å, b = 8.993 Å, c = 9.788 Å
α = 90.00°, β = 105.08°, γ = 90.00°
Atoms (fractional coordinates):
Na 0.000 0.000 0.000
Ca 0.000 0.899 0.500
Ca 0.500 0.393 0.000
Ca 0.500 0.495 0.500
Mg 0.000 0.288 0.500
Mg 0.000 0.603 0.000
Mg 0.500 0.105 0.500
Fe 0.500 0.800 0.000
Si 0.192 0.288 0.212
Si 0.194 0.605 0.713
Si 0.307 0.105 0.788
Si 0.307 0.791 0.286
Si 0.693 0.105 0.212
Si 0.693 0.791 0.714
Si 0.806 0.605 0.287
Si 0.808 0.288 0.788
O 0.102 0.681 0.349
O 0.105 0.214 0.850
O 0.206 0.446 0.138
O 0.207 0.448 0.639
O 0.223 0.108 0.616
O 0.232 0.780 0.114
O 0.276 0.284 0.384
O 0.280 0.614 0.886
O 0.293 0.947 0.362
O 0.300 0.944 0.862
O 0.396 0.714 0.649
O 0.401 0.182 0.150
O 0.599 0.182 0.850
O 0.604 0.714 0.351
O 0.700 0.944 0.138
O 0.707 0.947 0.638
O 0.720 0.614 0.114
O 0.724 0.284 0.616
O 0.768 0.780 0.886
O 0.777 0.108 0.384
O 0.793 0.448 0.361
O 0.794 0.446 0.862
O 0.895 0.214 0.150
O 0.898 0.681 0.651